For Li4Si2NiO7, a DFT-relaxed cell (PBE+U, the Materials Project) gives the theoretical PXRD pattern in this record (copper Kα).

Peak list (8 most intense, 15° ≤ 2θ ≤ 90°, in order of rising 2θ)
- hkl 0 0 2, 2θ 18.7, I 89
- hkl 1 2 1, 2θ 24.6, I 50
- hkl 1 0 -2, 2θ 24.9, I 100
- hkl 1 2 3, 2θ 35.3, I 49
- hkl 1 -2 3, 2θ 35.5, I 53
- hkl 2 2 -1, 2θ 35.9, I 52
- hkl -2 2 1, 2θ 36.2, I 56
- hkl 1 4 -4, 2θ 59.9, I 32

Atomic structure:
```
data_Li4Si2NiO7
_cell_length_a 6.777
_cell_length_b 9.019
_cell_length_c 9.620
_cell_angle_alpha 89.78
_cell_angle_beta 79.96
_cell_angle_gamma 89.42
_symmetry_space_group_name_H-M 'P 1'
_symmetry_Int_Tables_number 1
loop_
_symmetry_equiv_pos_as_xyz
'x,y,z'
loop_
_atom_site_label
_atom_site_fract_x
_atom_site_fract_y
_atom_site_fract_z
_atom_site_occupancy
Li1 0.000 0.000 0.000 1
Li2 0.000 0.244 0.500 1
Li3 0.285 0.248 0.066 1
Li4 0.290 0.501 0.565 1
Li5 0.294 0.998 0.565 1
Li6 0.296 0.751 0.064 1
Li7 0.410 0.250 0.362 1
Li8 0.415 0.498 0.861 1
Li9 0.419 0.001 0.861 1
Li10 0.422 0.748 0.359 1
Li11 0.702 0.498 0.422 1
Li12 0.706 0.744 0.922 1
Li13 0.707 0.245 0.925 1
Li14 0.707 0.989 0.424 1
Li15 0.994 0.491 0.998 1
Li16 0.999 0.744 0.497 1
Si1 0.135 0.488 0.287 1
Si2 0.139 0.738 0.790 1
Si3 0.142 0.238 0.786 1
Si4 0.146 0.985 0.289 1
Si5 0.558 0.485 0.137 1
Si6 0.562 0.734 0.640 1
Si7 0.564 0.235 0.637 1
Si8 0.568 0.988 0.139 1
Ni1 0.844 0.241 0.224 1
Ni2 0.859 0.492 0.701 1
Ni3 0.859 0.991 0.704 1
Ni4 0.862 0.741 0.197 1
O1 0.071 0.381 0.163 1
O2 0.079 0.636 0.663 1
O3 0.082 0.134 0.660 1
O4 0.084 0.885 0.160 1
O5 0.189 0.392 0.419 1
O6 0.191 0.640 0.921 1
O7 0.197 0.141 0.916 1
O8 0.200 0.886 0.418 1
O9 0.346 0.583 0.211 1
O10 0.352 0.832 0.717 1
O11 0.353 0.333 0.711 1
O12 0.355 0.082 0.216 1
O13 0.504 0.386 0.009 1
O14 0.507 0.638 0.511 1
O15 0.511 0.137 0.507 1
O16 0.514 0.891 0.009 1
O17 0.619 0.384 0.266 1
O18 0.628 0.629 0.765 1
O19 0.631 0.132 0.763 1
O20 0.633 0.880 0.263 1
O21 0.735 0.605 0.080 1
O22 0.739 0.854 0.583 1
O23 0.740 0.355 0.578 1
O24 0.744 0.110 0.085 1
O25 0.957 0.610 0.341 1
O26 0.961 0.861 0.845 1
O27 0.962 0.360 0.840 1
O28 0.966 0.105 0.347 1
```